[1]
Starting from the GGA-PBE geometry in Alexandria, the powder diffractogram of PmDy2TmTh was simulated for Cu Ka.

Cell and atoms:
abc: 3.5335 5.6159 8.6739
angles: 90.00 90.00 90.00
Space group Pmmm (No. 47)
Unique sites:
Pm (0.0000, 0.0000, 0.0000) x1
Dy (0.0000, 0.5000, 0.3219) x2
Tm (0.5000, 0.0000, 0.5000) x1
Th (0.5000, 0.5000, 0.0000) x1

Most intense lines, 10 to 80 degrees two-theta, low angle first:
2θ = 20.5°, I 18, hkl 0 0 2; 2θ = 26.0°, I 15, hkl 0 1 2; 2θ = 30.9°, I 15, hkl 0 0 3; 2θ = 31.6°, I 100, hkl 1 1 1; 2θ = 31.9°, I 39, hkl 0 2 0; 2θ = 32.7°, I 20, hkl 1 0 2; 2θ = 34.9°, I 26, hkl 0 1 3; 2θ = 36.5°, I 24, hkl 1 1 2; 2θ = 56.6°, I 20, hkl 1 3 1; 2θ = 61.8°, I 20, hkl 1 1 5

=====

[2]
Starting from the GGA-PBE geometry in Alexandria, the powder diffractogram of RbCa2TlS4 was simulated for Cu Ka.

Cell and atoms:
abc: 8.5054 8.5477 11.6739
angles: 90.00 90.00 90.00
Space group Imma (No. 74)
Unique sites:
Rb (0.2500, 0.2500, 0.2500) x4
Ca (0.0000, 0.0000, 0.0000) x4
Ca (0.2500, 0.2500, 0.7500) x4
Tl (0.0000, 0.0000, 0.5000) x4
S (0.0000, 0.0280, 0.7157) x8
S (0.2201, 0.2500, 0.9848) x8

Most intense lines, 10 to 80 degrees two-theta, low angle first:
2θ = 12.9°, I 68, hkl 1 0 1; 2θ = 24.5°, I 46, hkl 1 2 1; 2θ = 25.9°, I 68, hkl 2 0 2; 2θ = 29.6°, I 100, hkl 2 2 0; 2θ = 30.6°, I 42, hkl 0 0 4; 2θ = 42.3°, I 18, hkl 0 4 0; 2θ = 42.5°, I 17, hkl 4 0 0; 2θ = 43.1°, I 62, hkl 2 2 4; 2θ = 53.1°, I 16, hkl 0 4 4; 2θ = 53.3°, I 16, hkl 4 0 4

=====

[3]
Starting from the GGA-PBE geometry in Alexandria, the powder diffractogram of Ac3AlZn2Au6 was simulated for Cu Ka.

Cell and atoms:
abc: 6.4962 6.4962 8.3803
angles: 90.00 90.00 120.00
Space group P-3m1 (No. 164)
Unique sites:
Ac (0.0000, 0.0000, 0.0000) x1
Ac (0.3333, 0.6667, 0.6436) x2
Al (0.0000, 0.0000, 0.5000) x1
Zn (0.3333, 0.6667, 0.0429) x2
Au (0.1804, 0.3608, 0.2984) x6

Most intense lines, 10 to 80 degrees two-theta, low angle first:
2θ = 19.0°, I 17, hkl 0 1 1; 2θ = 21.2°, I 15, hkl 0 0 2; 2θ = 32.0°, I 30, hkl 0 0 3; 2θ = 33.6°, I 100, hkl 0 2 1; 2θ = 35.0°, I 18, hkl 1 1 2; 2θ = 38.5°, I 63, hkl 2 0 2; 2θ = 45.8°, I 14, hkl 0 2 3; 2θ = 54.6°, I 16, hkl 0 2 4; 2θ = 56.7°, I 25, hkl 2 2 0; 2θ = 66.6°, I 20, hkl 2 2 3

=====

[4]
Starting from the GGA-PBE geometry in Alexandria, the powder diffractogram of Sm2FeSi3 was simulated for Cu Ka.

Cell and atoms:
abc: 4.0650 4.0650 8.2774
angles: 90.00 90.00 120.00
Space group P-6m2 (No. 187)
Unique sites:
Sm (0.0000, 0.0000, 0.2465) x2
Fe (0.3333, 0.6667, 0.0000) x1
Si (0.3333, 0.6667, 0.5000) x1
Si (0.6667, 0.3333, 0.0000) x1
Si (0.6667, 0.3333, 0.5000) x1

Most intense lines, 10 to 80 degrees two-theta, low angle first:
2θ = 21.5°, I 8, hkl 0 0 2; 2θ = 25.3°, I 38, hkl 1 0 0; 2θ = 33.4°, I 100, hkl 1 0 2; 2θ = 43.7°, I 11, hkl 0 0 4; 2θ = 44.6°, I 31, hkl 1 1 0; 2θ = 51.2°, I 11, hkl 1 0 4; 2θ = 56.8°, I 22, hkl 2 0 2; 2θ = 64.2°, I 21, hkl 1 1 4; 2θ = 73.8°, I 10, hkl 1 0 6; 2θ = 75.0°, I 19, hkl 2 1 2

=====

[5]
Starting from the GGA-PBE geometry in Alexandria, the powder diffractogram of TmPd6Pt23 was simulated for Cu Ka.

Cell and atoms:
abc: 7.9167 7.9167 15.6445
angles: 90.00 90.00 90.00
Space group I4/mmm (No. 139)
Unique sites:
Tm (0.0000, 0.0000, 0.0000) x2
Pd (0.0000, 0.0000, 0.2486) x4
Pd (0.2491, 0.2491, 0.5000) x8
Pt (0.0000, 0.0000, 0.5000) x2
Pt (0.0000, 0.2517, 0.3721) x16
Pt (0.0000, 0.2594, 0.1303) x16
Pt (0.0000, 0.5000, 0.0000) x4
Pt (0.2500, 0.2500, 0.2500) x8

Most intense lines, 10 to 80 degrees two-theta, low angle first:
2θ = 22.7°, I 3, hkl 0 0 4; 2θ = 25.2°, I 9, hkl 2 0 2; 2θ = 32.0°, I 3, hkl 2 2 0; 2θ = 39.6°, I 100, hkl 2 2 4; 2θ = 41.5°, I 2, hkl 2 0 6; 2θ = 45.8°, I 33, hkl 4 0 0; 2θ = 46.4°, I 16, hkl 0 0 8; 2θ = 53.0°, I 2, hkl 4 2 2; 2θ = 66.9°, I 11, hkl 4 4 0; 2θ = 67.3°, I 21, hkl 4 0 8

=====

[6]
Starting from the GGA-PBE geometry in Alexandria, the powder diffractogram of Ce14Pu3Au6 was simulated for Cu Ka.

Cell and atoms:
abc: 10.3476 10.3476 6.3320
angles: 90.00 90.00 120.00
Space group P3m1 (No. 156)
Unique sites:
Ce (0.0000, 0.0000, 0.0000) x1
Ce (0.1053, 0.5527, 0.6058) x3
Ce (0.2184, 0.4367, 0.1572) x3
Ce (0.2734, 0.1367, 0.3464) x3
Ce (0.3901, 0.1951, 0.8393) x3
Ce (0.6667, 0.3333, 0.4853) x1
Pu (0.0000, 0.0000, 0.3872) x1
Pu (0.3333, 0.6667, 0.3795) x1
Pu (0.6667, 0.3333, 0.8702) x1
Au (0.1350, 0.2700, 0.6906) x3
Au (0.5336, 0.0672, 0.1589) x3

Most intense lines, 10 to 80 degrees two-theta, low angle first:
2θ = 17.1°, I 39, hkl 1 0 1; 2θ = 24.3°, I 27, hkl 2 0 1; 2θ = 29.9°, I 30, hkl 1 0 2; 2θ = 33.2°, I 100, hkl 0 3 1; 2θ = 34.7°, I 90, hkl 2 2 0; 2θ = 38.9°, I 18, hkl 2 1 2; 2θ = 41.6°, I 27, hkl 0 3 2; 2θ = 46.4°, I 22, hkl 3 2 1; 2θ = 53.1°, I 35, hkl 3 3 0; 2θ = 63.1°, I 30, hkl 3 2 3

=====

[7]
Starting from the GGA-PBE geometry in Alexandria, the powder diffractogram of NiTe6Mo was simulated for Cu Ka.

Cell and atoms:
abc: 6.4421 6.5843 6.6340
angles: 88.63 61.73 62.09
Space group P-1 (No. 2)
Unique sites:
Ni (0.0000, 0.0000, 0.0000) x1
Te (0.1372, 0.8031, 0.5830) x2
Te (0.1662, 0.2822, 0.7879) x2
Te (0.4958, 0.2825, 0.0875) x2
Mo (0.0000, 0.5000, 0.5000) x1

Most intense lines, 10 to 80 degrees two-theta, low angle first:
2θ = 29.9°, I 100, hkl 1 0 -1; 2θ = 30.6°, I 90, hkl 1 1 2; 2θ = 31.6°, I 62, hkl 2 0 1; 2θ = 31.8°, I 46, hkl 0 2 0; 2θ = 32.1°, I 96, hkl 1 -1 2; 2θ = 32.3°, I 67, hkl 1 2 -1; 2θ = 32.4°, I 51, hkl 2 2 1; 2θ = 46.8°, I 49, hkl 0 1 -3; 2θ = 48.2°, I 49, hkl 3 2 0; 2θ = 48.7°, I 39, hkl 3 1 3

=====

[8]
Starting from the GGA-PBE geometry in Alexandria, the powder diffractogram of SmGa2CuNi2 was simulated for Cu Ka.

Cell and atoms:
abc: 4.4337 4.4337 5.3097
angles: 90.00 90.00 90.00
Space group P4/mmm (No. 123)
Unique sites:
Sm (0.0000, 0.0000, 0.0000) x1
Ga (0.5000, 0.5000, 0.2499) x2
Cu (0.0000, 0.0000, 0.5000) x1
Ni (0.0000, 0.5000, 0.5000) x2

Most intense lines, 10 to 80 degrees two-theta, low angle first:
2θ = 26.2°, I 14, hkl 1 0 1; 2θ = 28.5°, I 50, hkl 1 1 0; 2θ = 33.2°, I 54, hkl 1 1 1; 2θ = 39.6°, I 100, hkl 1 0 2; 2θ = 40.7°, I 85, hkl 2 0 0; 2θ = 53.9°, I 12, hkl 2 0 2; 2θ = 58.1°, I 63, hkl 2 1 2; 2θ = 58.9°, I 27, hkl 2 2 0; 2θ = 69.3°, I 12, hkl 3 1 1; 2θ = 73.3°, I 15, hkl 3 0 2

=====

[9]
Starting from the GGA-PBE geometry in Alexandria, the powder diffractogram of Pu3O3F5 was simulated for Cu Ka.

Cell and atoms:
abc: 7.3872 7.3872 4.1389
angles: 90.00 90.00 120.00
Space group P-62m (No. 189)
Unique sites:
Pu (0.0000, 0.6431, 0.0000) x3
O (0.0000, 0.6459, 0.5000) x3
F (0.0000, 0.2762, 0.0000) x3
F (0.3333, 0.6667, 0.0000) x2

Most intense lines, 10 to 80 degrees two-theta, low angle first:
2θ = 21.5°, I 52, hkl 0 0 1; 2θ = 24.1°, I 100, hkl 1 1 0; 2θ = 32.5°, I 69, hkl 1 1 1; 2θ = 42.4°, I 29, hkl 3 0 0; 2θ = 48.0°, I 32, hkl 3 0 1; 2θ = 49.3°, I 14, hkl 2 2 0; 2θ = 50.6°, I 28, hkl 1 1 2; 2θ = 54.4°, I 16, hkl 2 2 1; 2θ = 62.5°, I 18, hkl 3 0 2; 2θ = 68.0°, I 13, hkl 0 0 3

=====

[10]
Starting from the GGA-PBE geometry in Alexandria, the powder diffractogram of Th2PaPt3 was simulated for Cu Ka.

Cell and atoms:
abc: 7.9071 11.7657 26.1539
angles: 90.00 90.00 90.00
Space group Fddd (No. 70, origin choice 2)
Unique sites:
Th (0.1250, 0.1250, 0.0424) x16
Th (0.1250, 0.1250, 0.3742) x16
Pa (0.1250, 0.1250, 0.5412) x16
Pt (0.1142, 0.3750, 0.8750) x16
Pt (0.1203, 0.3703, 0.7101) x32

Most intense lines, 10 to 80 degrees two-theta, low angle first:
2θ = 30.4°, I 51, hkl 0 4 0; 2θ = 30.5°, I 100, hkl 2 0 6; 2θ = 41.4°, I 22, hkl 0 0 12; 2θ = 43.6°, I 77, hkl 2 4 6; 2θ = 45.9°, I 16, hkl 4 0 0; 2θ = 52.2°, I 23, hkl 0 4 12; 2θ = 56.1°, I 18, hkl 4 4 0; 2θ = 71.8°, I 18, hkl 2 8 6; 2θ = 72.0°, I 18, hkl 4 4 12; 2θ = 77.1°, I 15, hkl 2 4 18